# 1
Starting from a structure optimized by DFT (PBE), the powder diffraction line list of Ca3Nb2N4 was calculated for CuKα.
Kinematic intensities with the Lorentz-polarization factor, no thermal factor.

Crystal structure
```
36
Lattice="5.8819 0.0000 0.0000 0.0000 10.6354 0.0000 0.0000 0.0000 9.3875" Properties=species:S:1:pos:R:3 pbc="T T T"
Ca 0.6760 1.6579 0.7537
Ca 0.6760 3.6599 3.9401
Ca 1.4705 0.0000 3.7581
Ca 1.4705 5.3177 0.9357
Ca 2.2650 6.9756 3.9401
Ca 2.2650 8.9776 0.7537
Ca 3.6169 1.6579 8.6338
Ca 3.6169 3.6599 5.4474
Ca 4.4114 0.0000 5.6294
Ca 4.4114 5.3177 8.4518
Ca 5.2059 6.9756 5.4474
Ca 5.2059 8.9776 8.6338
Nb 0.7233 2.6589 7.0406
Nb 1.4705 0.0000 6.9169
Nb 1.4705 5.3177 7.1643
Nb 2.2177 7.9766 7.0406
Nb 3.6642 2.6589 2.3469
Nb 4.4114 0.0000 2.4706
Nb 4.4114 5.3177 2.2231
Nb 5.1586 7.9766 2.3469
N 0.0868 6.1935 3.1986
N 0.0868 9.7597 1.4951
N 0.9209 6.9319 8.2984
N 0.9209 9.0213 5.7828
N 2.0200 1.6141 5.7828
N 2.0200 3.7036 8.2984
N 2.8541 0.8758 1.4951
N 2.8541 4.4419 3.1986
N 3.0278 6.1935 6.1888
N 3.0278 9.7597 7.8924
N 3.8619 6.9319 1.0891
N 3.8619 9.0213 3.6047
N 4.9609 1.6141 3.6047
N 4.9609 3.7036 1.0891
N 5.7950 0.8758 7.8924
N 5.7950 4.4419 6.1888
```

Principal peaks in the range 10° ≤ 2θ ≤ 80°, most intense first:
| 2θ/deg | intensity | (hkl) |
| --- | --- | --- |
| 17.8 | 100 | 1 0 1 |
| 32.4 | 82 | 1 0 3 |
| 18.9 | 55 | 0 0 2 |
| 33.5 | 44 | 1 1 3 |
| 38.4 | 41 | 1 4 1 |
| 38.9 | 37 | 0 4 2 |
| 31.6 | 31 | 2 1 0 |
| 47.5 | 30 | 1 4 3 |
| 58.2 | 26 | 3 2 3 |
| 19.7 | 22 | 1 1 1 |


# 2
Starting from a structure optimized by DFT (PBE), the powder diffraction line list of CaNbNO2 was calculated for CuKα.
Kinematic intensities with the Lorentz-polarization factor, no thermal factor.

Crystal structure
```
20
Lattice="5.5736 0.0000 0.0000 0.0000 5.7151 0.0000 -5.5371 0.0000 7.9599" Properties=species:S:1:pos:R:3 pbc="T T T"
Ca -0.0643 0.2553 1.9652
Ca -2.8329 2.6022 5.9451
Ca 2.8693 3.1128 2.0147
Ca 0.1008 5.4598 5.9947
Nb -2.7686 0.0000 3.9799
Nb 0.0000 2.8575 0.0000
Nb 2.7868 0.0000 0.0000
Nb 0.0182 2.8575 3.9799
N -4.3653 1.2123 7.6055
N -1.5968 1.6452 3.6255
N 1.6332 4.0698 4.3343
N 4.4018 4.5028 0.3544
O -3.9115 4.0513 7.5375
O -1.1429 4.5214 3.5576
O -2.2499 0.1475 5.9746
O 0.5186 2.7100 1.9947
O -0.4822 3.0050 5.9652
O 2.2863 5.5676 1.9853
O 1.1794 1.1937 4.4022
O 3.9479 1.6638 0.4223
```

Principal peaks in the range 10° ≤ 2θ ≤ 80°, most intense first:
| 2θ/deg | intensity | (hkl) |
| --- | --- | --- |
| 22.3 | 100 | 1 1 -1 |
| 31.7 | 93 | 1 1 1 |
| 31.8 | 89 | 1 1 -3 |
| 45.5 | 56 | 2 2 -2 |
| 31.3 | 47 | 0 2 0 |
| 32.1 | 42 | 2 0 -2 |
| 56.9 | 32 | 3 1 -1 |
| 56.0 | 32 | 1 3 -3 |
| 45.6 | 29 | 0 0 4 |
| 57.1 | 22 | 3 1 -5 |


# 3
Starting from a structure optimized by DFT (PBE), the powder diffraction line list of CaNi2N2 was calculated for CuKα.
Kinematic intensities with the Lorentz-polarization factor, no thermal factor.

Crystal structure
```
5
Lattice="3.4626 0.0000 0.0000 0.0000 3.4626 0.0000 0.0000 0.0000 6.0430" Properties=species:S:1:pos:R:3 pbc="T T T"
Ca 0.0000 0.0000 0.0000
Ni 1.7313 1.7313 1.7880
Ni 1.7313 1.7313 4.2550
N 0.0000 1.7313 4.3394
N 1.7313 0.0000 1.7036
```

Principal peaks in the range 10° ≤ 2θ ≤ 80°, most intense first:
| 2θ/deg | intensity | (hkl) |
| --- | --- | --- |
| 39.6 | 100 | 1 0 2 |
| 29.7 | 69 | 1 0 1 |
| 36.7 | 58 | 1 1 0 |
| 25.7 | 54 | 1 0 0 |
| 68.0 | 35 | 2 1 2 |
| 52.9 | 34 | 2 0 0 |
| 61.8 | 22 | 2 0 2 |
| 29.6 | 21 | 0 0 2 |
| 59.4 | 20 | 1 1 3 |
| 45.0 | 18 | 0 0 3 |


# 4
Starting from a structure optimized by DFT (PBE), the powder diffraction line list of CaNiN was calculated for CuKα.
Kinematic intensities with the Lorentz-polarization factor, no thermal factor.

Crystal structure
```
6
Lattice="3.5581 0.0000 0.0000 0.0000 3.5581 0.0000 0.0000 0.0000 7.0690" Properties=species:S:1:pos:R:3 pbc="T T T"
Ca 0.0000 0.0000 1.7673
Ca 0.0000 0.0000 5.3018
Ni 1.7791 1.7791 0.0000
Ni 1.7791 1.7791 3.5345
N 0.0000 1.7791 0.0000
N 1.7791 0.0000 3.5345
```

Principal peaks in the range 10° ≤ 2θ ≤ 80°, most intense first:
| 2θ/deg | intensity | (hkl) |
| --- | --- | --- |
| 35.8 | 100 | 1 0 2 |
| 35.7 | 39 | 1 1 0 |
| 64.2 | 32 | 2 1 2 |
| 51.4 | 20 | 2 0 0 |
| 64.4 | 13 | 1 1 4 |
| 75.9 | 11 | 2 0 4 |
| 51.7 | 10 | 0 0 4 |
| 25.2 | 8 | 0 0 2 |
| 75.6 | 6 | 2 2 0 |
| 25.0 | 6 | 1 0 0 |


# 5
Starting from a structure optimized by DFT (PBE), the powder diffraction line list of Ca3Ni3N5 was calculated for CuKα.
Kinematic intensities with the Lorentz-polarization factor, no thermal factor.

Crystal structure
```
22
Lattice="5.5938 0.0000 0.0000 -0.5435 6.7382 0.0000 -2.3492 -2.7466 7.4169" Properties=species:S:1:pos:R:3 pbc="T T T"
Ca 0.3029 0.6411 1.4568
Ca -1.3200 0.1084 6.5141
Ca -0.1965 4.4501 4.4931
Ca 2.8976 -0.4585 2.9238
Ca 4.0210 3.8832 0.9028
Ca 2.3982 3.3505 5.9601
Ni -0.4666 1.4404 4.1743
Ni 1.1529 3.4442 2.1364
Ni -0.4643 2.8620 7.2126
Ni 3.1654 1.1296 0.2043
Ni 1.5481 0.5474 5.2805
Ni 3.1676 2.5512 3.2426
N -0.5123 2.6984 2.7723
N 0.6896 4.6515 0.7847
N -0.7336 -2.2446 6.6681
N 0.5423 -0.0863 3.7502
N 0.3529 1.8971 5.8422
N 2.3481 2.0945 1.5747
N 2.1587 4.0779 3.6667
N 3.4347 6.2362 0.7488
N 2.0115 -0.6599 6.6322
N 3.2133 1.2932 4.6446
```

Principal peaks in the range 10° ≤ 2θ ≤ 80°, most intense first:
| 2θ/deg | intensity | (hkl) |
| --- | --- | --- |
| 34.7 | 100 | 1 0 -3 |
| 34.5 | 89 | 0 2 1 |
| 33.3 | 72 | 1 2 -2 |
| 34.4 | 68 | 2 -1 0 |
| 42.3 | 43 | 1 -1 3 |
| 14.0 | 41 | 0 1 0 |
| 44.9 | 38 | 1 -3 2 |
| 31.8 | 35 | 1 -1 2 |
| 21.4 | 30 | 0 1 1 |
| 16.8 | 28 | 1 0 0 |


# 6
Starting from a structure optimized by DFT (PBE), the powder diffraction line list of Ca5NiN4 was calculated for CuKα.
Kinematic intensities with the Lorentz-polarization factor, no thermal factor.

Crystal structure
```
20
Lattice="7.0532 0.0000 0.0000 0.0000 8.9411 0.0000 0.0000 0.0000 6.2218" Properties=species:S:1:pos:R:3 pbc="T T T"
Ca 0.0884 0.4636 1.4431
Ca 0.0884 4.0070 1.4431
Ca 1.7633 2.2353 4.6778
Ca 3.4382 0.4636 1.4431
Ca 3.4382 4.0070 1.4431
Ca 3.6150 4.9341 4.7787
Ca 3.6150 8.4775 4.7787
Ca 5.2899 6.7058 1.5440
Ca 6.9648 4.9341 4.7787
Ca 6.9648 8.4775 4.7787
Ni 1.7633 6.7058 2.8565
Ni 5.2899 2.2353 3.3653
N 0.0307 6.7058 3.1039
N 1.7633 0.3368 5.9907
N 1.7633 4.1337 5.9907
N 3.4959 6.7058 3.1039
N 3.5573 2.2353 3.1179
N 5.2899 4.8073 0.2311
N 5.2899 8.6043 0.2311
N 7.0225 2.2353 3.1179
```

Principal peaks in the range 10° ≤ 2θ ≤ 80°, most intense first:
| 2θ/deg | intensity | (hkl) |
| --- | --- | --- |
| 24.5 | 100 | 0 2 1 |
| 32.3 | 96 | 2 2 0 |
| 33.3 | 94 | 0 3 1 |
| 30.8 | 80 | 2 1 1 |
| 21.5 | 80 | 1 1 1 |
| 43.8 | 55 | 2 2 2 |
| 38.6 | 50 | 2 0 2 |
| 33.0 | 49 | 1 1 2 |
| 35.1 | 49 | 0 2 2 |
| 59.9 | 41 | 2 5 1 |